This entry pairs a crystal structure of NaMgICl2 with its calculated powder diffractogram. Radiation: λ = 1.5418 Å (Cu Kα). Structure: a GGA-PBE-relaxed structure.

The 6 most intense peaks (2θ from 10° to 80°), sorted by position:
- (1 0 0), 18.20°, d 4.874, rel. 70
- (0 0 2), 29.17°, d 3.062, rel. 42
- (1 1 1), 29.75°, d 3.003, rel. 100
- (1 0 2), 34.60°, d 2.593, rel. 27
- (2 0 0), 36.88°, d 2.437, rel. 43
- (2 0 2), 47.70°, d 1.907, rel. 40

Cell and atoms:
```
data_NaMgICl2
_chemical_formula_sum 'Na1 Mg1 I1 Cl2'
_cell_length_a 4.8739
_cell_length_b 4.8739
_cell_length_c 6.1237
_cell_angle_alpha 90.00
_cell_angle_beta 90.00
_cell_angle_gamma 90.00
_space_group_name_H-M_alt 'P 4/m m m'
_space_group_IT_number 123
_space_group_name_Hall '-P 4 2'
loop_
_atom_site_label
_atom_site_type_symbol
_atom_site_fract_x
_atom_site_fract_y
_atom_site_fract_z
_atom_site_occupancy
Na1 Na 0.0000 0.0000 0.0000 1
Mg1 Mg 0.5000 0.5000 0.5000 1
I1 I 0.5000 0.5000 0.0000 1
Cl1 Cl 0.0000 0.5000 0.5000 1
```

***

This entry pairs a crystal structure of Ba2AsPt with its calculated powder diffractogram. Radiation: λ = 1.5418 Å (Cu Kα). Structure: a GGA-PBE-relaxed structure.

The 6 most intense peaks (2θ from 10° to 80°), sorted by position:
- (1 0 -1), 15.21°, d 5.827, rel. 73
- (1 1 1), 27.85°, d 3.203, rel. 90
- (0 1 2), 27.99°, d 3.188, rel. 100
- (2 0 0), 29.56°, d 3.022, rel. 87
- (1 0 -3), 29.96°, d 2.982, rel. 82
- (2 1 -2), 36.35°, d 2.471, rel. 80

Cell and atoms:
```
data_Ba2AsPt
_chemical_formula_sum 'Ba4 As2 Pt2'
_cell_length_a 6.3182
_cell_length_b 4.6693
_cell_length_c 9.1207
_cell_angle_alpha 90.00
_cell_angle_beta 106.95
_cell_angle_gamma 90.00
_space_group_name_H-M_alt 'P 1 21/m 1'
_space_group_IT_number 11
_space_group_name_Hall '-P 2yb'
loop_
_atom_site_label
_atom_site_type_symbol
_atom_site_fract_x
_atom_site_fract_y
_atom_site_fract_z
_atom_site_occupancy
Ba1 Ba 0.2020 0.2500 0.4173 1
Ba2 Ba 0.2807 0.7500 0.0616 1
As1 As 0.3408 0.7500 0.7153 1
Pt1 Pt 0.1929 0.2500 0.7705 1
```

***

This entry pairs a crystal structure of NdPu2UAs4 with its calculated powder diffractogram. Radiation: λ = 1.5418 Å (Cu Kα). Structure: a GGA-PBE-relaxed structure.

The 6 most intense peaks (2θ from 10° to 80°), sorted by position:
- (1 1 2), 26.25°, d 3.395, rel. 40
- (2 0 0), 30.40°, d 2.940, rel. 100
- (2 2 0), 43.53°, d 2.079, rel. 76
- (2 2 4), 54.02°, d 1.697, rel. 27
- (4 2 0), 71.80°, d 1.315, rel. 35
- (4 2 4), 79.93°, d 1.200, rel. 26

Cell and atoms:
```
data_NdPu2UAs4
_chemical_formula_sum 'Nd2 Pu4 U2 As8'
_cell_length_a 5.8813
_cell_length_b 5.8813
_cell_length_c 11.7540
_cell_angle_alpha 90.00
_cell_angle_beta 90.00
_cell_angle_gamma 90.00
_space_group_name_H-M_alt 'I -4 m 2'
_space_group_IT_number 119
_space_group_name_Hall 'I -4 -2'
loop_
_atom_site_label
_atom_site_type_symbol
_atom_site_fract_x
_atom_site_fract_y
_atom_site_fract_z
_atom_site_occupancy
Nd1 Nd 0.0000 0.0000 0.0000 1
Pu1 Pu 0.0000 0.0000 0.5000 1
Pu2 Pu 0.0000 0.5000 0.2500 1
U1 U 0.0000 0.5000 0.7500 1
As1 As 0.0000 0.0000 0.2544 1
As2 As 0.0000 0.5000 0.5039 1
```

***

This entry pairs a crystal structure of Al13Cu3S24 with its calculated powder diffractogram. Radiation: λ = 1.5418 Å (Cu Kα). Structure: a GGA-PBE-relaxed structure.

The 6 most intense peaks (2θ from 10° to 80°), sorted by position:
- (3 1 0), 25.32°, d 3.517, rel. 42
- (0 2 3), 29.70°, d 3.008, rel. 55
- (2 2 -2), 31.00°, d 2.885, rel. 39
- (0 0 6), 31.31°, d 2.857, rel. 42
- (2 2 4), 36.15°, d 2.485, rel. 52
- (6 2 0), 52.00°, d 1.759, rel. 100

Cell and atoms:
```
data_Al13Cu3S24
_chemical_formula_sum 'Al26 Cu6 S48'
_cell_length_a 12.1645
_cell_length_b 7.0797
_cell_length_c 17.1365
_cell_angle_alpha 90.00
_cell_angle_beta 90.48
_cell_angle_gamma 90.00
_space_group_name_H-M_alt 'C 1 m 1'
_space_group_IT_number 8
_space_group_name_Hall 'C -2y'
loop_
_atom_site_label
_atom_site_type_symbol
_atom_site_fract_x
_atom_site_fract_y
_atom_site_fract_z
_atom_site_occupancy
Al1 Al 0.0000 0.0000 0.0000 1
Al2 Al 0.0034 0.0000 0.3940 1
Al3 Al 0.0071 0.5000 0.5035 1
Al4 Al 0.0930 0.2479 0.8416 1
Al5 Al 0.1649 0.5000 0.0482 1
Al6 Al 0.1752 0.0000 0.1798 1
Al7 Al 0.1792 0.5000 0.6716 1
Al8 Al 0.2543 0.2514 0.5026 1
Al9 Al 0.3326 0.0000 0.7156 1
Al10 Al 0.4172 0.2437 0.1790 1
Cu1 Cu 0.0074 0.0000 0.6338 1
Cu2 Cu 0.1712 0.5000 0.2935 1
Cu3 Cu 0.3453 0.0000 0.9637 1
S1 S 0.0033 0.0000 0.2528 1
S2 S 0.0177 0.5000 0.7582 1
S3 S 0.0196 0.0000 0.7626 1
S4 S 0.0794 0.2306 0.0944 1
S5 S 0.0952 0.2673 0.5869 1
S6 S 0.1650 0.0000 0.9240 1
S7 S 0.1711 0.5000 0.4279 1
S8 S 0.1751 0.5000 0.9179 1
S9 S 0.1821 0.0000 0.4245 1
S10 S 0.2550 0.2678 0.7602 1
S11 S 0.2584 0.2368 0.2555 1
S12 S 0.3324 0.5000 0.5844 1
S13 S 0.3362 0.0000 0.0986 1
S14 S 0.3392 0.0000 0.5814 1
S15 S 0.3463 0.5000 0.0928 1
S16 S 0.4155 0.2321 0.4242 1
S17 S 0.4311 0.2594 0.9190 1
S18 S 0.4948 0.0000 0.2551 1
```

***

This entry pairs a crystal structure of MgNbTl2 with its calculated powder diffractogram. Radiation: λ = 1.5418 Å (Cu Kα). Structure: a GGA-PBE-relaxed structure.

The 6 most intense peaks (2θ from 10° to 80°), sorted by position:
- (2 0 0), 22.89°, d 3.886, rel. 54
- (2 2 0), 32.59°, d 2.748, rel. 81
- (1 1 2), 33.07°, d 2.709, rel. 100
- (4 0 0), 46.75°, d 1.943, rel. 30
- (3 1 2), 47.11°, d 1.929, rel. 75
- (5 1 2), 68.55°, d 1.369, rel. 24

Cell and atoms:
```
data_MgNbTl2
_chemical_formula_sum 'Mg4 Nb4 Tl8'
_cell_length_a 7.7720
_cell_length_b 7.7720
_cell_length_c 6.2269
_cell_angle_alpha 90.00
_cell_angle_beta 90.00
_cell_angle_gamma 90.00
_space_group_name_H-M_alt 'I -4 2 d'
_space_group_IT_number 122
_space_group_name_Hall 'I -4 2bw'
loop_
_atom_site_label
_atom_site_type_symbol
_atom_site_fract_x
_atom_site_fract_y
_atom_site_fract_z
_atom_site_occupancy
Mg1 Mg 0.0000 0.0000 0.0000 1
Nb1 Nb 0.0000 0.0000 0.5000 1
Tl1 Tl 0.2427 0.2500 0.1250 1
```

***

This entry pairs a crystal structure of Cs2Hg15Au2 with its calculated powder diffractogram. Radiation: λ = 1.5418 Å (Cu Kα). Structure: a GGA-PBE-relaxed structure.

The 6 most intense peaks (2θ from 10° to 80°), sorted by position:
- (1 0 0), 10.96°, d 8.070, rel. 53
- (2 0 2), 28.09°, d 3.177, rel. 100
- (-1 2 2), 30.36°, d 2.945, rel. 47
- (2 0 -2), 31.41°, d 2.848, rel. 57
- (3 0 0), 33.31°, d 2.690, rel. 73
- (0 2 -2), 33.56°, d 2.671, rel. 62

Cell and atoms:
```
data_Cs2Hg15Au2
_chemical_formula_sum 'Cs2 Hg15 Au2'
_cell_length_a 8.3417
_cell_length_b 8.5990
_cell_length_c 9.4353
_cell_angle_alpha 73.09
_cell_angle_beta 80.24
_cell_angle_gamma 76.65
_space_group_name_H-M_alt 'P 1'
_space_group_IT_number 1
_space_group_name_Hall 'P 1'
loop_
_atom_site_label
_atom_site_type_symbol
_atom_site_fract_x
_atom_site_fract_y
_atom_site_fract_z
_atom_site_occupancy
Cs1 Cs 0.0000 0.0000 0.0000 1
Cs2 Cs 0.3093 0.3676 0.3336 1
Hg1 Hg 0.0058 0.0845 0.5480 1
Hg2 Hg 0.0282 0.5135 0.0085 1
Hg3 Hg 0.2581 0.7395 0.7191 1
Hg4 Hg 0.2960 0.8799 0.3484 1
Hg5 Hg 0.3049 0.3216 0.7975 1
Hg6 Hg 0.4390 0.7416 0.0279 1
Hg7 Hg 0.5021 0.0833 0.0675 1
Hg8 Hg 0.5853 0.4866 0.5567 1
Hg9 Hg 0.6287 0.9656 0.4196 1
Hg10 Hg 0.6414 0.0691 0.7320 1
Hg11 Hg 0.6583 0.4069 0.9408 1
Hg12 Hg 0.7281 0.6729 0.2284 1
Hg13 Hg 0.8060 0.2857 0.2803 1
Hg14 Hg 0.9541 0.4044 0.6718 1
Hg15 Hg 0.9799 0.7241 0.4166 1
Au1 Au 0.5916 0.7375 0.7230 1
Au2 Au 0.9147 0.7545 0.7315 1
```

***

This entry pairs a crystal structure of LaYCuPd with its calculated powder diffractogram. Radiation: λ = 1.5418 Å (Cu Kα). Structure: a GGA-PBE-relaxed structure.

The 6 most intense peaks (2θ from 10° to 80°), sorted by position:
- (1 1 1), 31.27°, d 2.861, rel. 100
- (0 0 4), 33.26°, d 2.693, rel. 23
- (0 1 3), 34.00°, d 2.636, rel. 28
- (1 0 4), 38.74°, d 2.324, rel. 24
- (2 0 0), 39.16°, d 2.301, rel. 32
- (1 1 3), 39.39°, d 2.288, rel. 66

Cell and atoms:
```
data_LaYCuPd
_chemical_formula_sum 'La2 Y2 Cu2 Pd2'
_cell_length_a 4.6010
_cell_length_b 3.8829
_cell_length_c 10.7736
_cell_angle_alpha 90.00
_cell_angle_beta 90.00
_cell_angle_gamma 90.00
_space_group_name_H-M_alt 'A m m 2'
_space_group_IT_number 38
_space_group_name_Hall 'A 2 -2'
loop_
_atom_site_label
_atom_site_type_symbol
_atom_site_fract_x
_atom_site_fract_y
_atom_site_fract_z
_atom_site_occupancy
La1 La 0.0000 0.0000 0.0000 1
Y1 Y 0.5000 0.0000 0.2756 1
Cu1 Cu 0.0000 0.0000 0.7183 1
Pd1 Pd 0.5000 0.0000 0.5657 1
```

***

This entry pairs a crystal structure of Pb5Au3 with its calculated powder diffractogram. Radiation: λ = 1.5418 Å (Cu Kα). Structure: a GGA-PBE-relaxed structure.

The 6 most intense peaks (2θ from 10° to 80°), sorted by position:
- (1 2 1), 27.21°, d 3.277, rel. 52
- (1 4 0), 30.19°, d 2.960, rel. 40
- (2 1 1), 31.59°, d 2.832, rel. 82
- (2 2 1), 33.90°, d 2.645, rel. 100
- (0 4 1), 34.70°, d 2.585, rel. 63
- (0 0 2), 41.21°, d 2.191, rel. 59

Cell and atoms:
```
data_Pb5Au3
_chemical_formula_sum 'Pb10 Au6'
_cell_length_a 7.7568
_cell_length_b 12.8090
_cell_length_c 4.3805
_cell_angle_alpha 90.00
_cell_angle_beta 90.00
_cell_angle_gamma 90.00
_space_group_name_H-M_alt 'P b a m'
_space_group_IT_number 55
_space_group_name_Hall '-P 2 2ab'
loop_
_atom_site_label
_atom_site_type_symbol
_atom_site_fract_x
_atom_site_fract_y
_atom_site_fract_z
_atom_site_occupancy
Pb1 Pb 0.0000 0.0000 0.0000 1
Pb2 Pb 0.1728 0.2990 0.0000 1
Pb3 Pb 0.1823 0.6020 0.5000 1
Au1 Au 0.0000 0.5000 0.0000 1
Au2 Au 0.0493 0.8241 0.5000 1
```